This entry pairs a crystal structure of SrCa3Pr with its computed X-ray powder pattern. Radiation: Cu Kα X-rays. Structure: a GGA-PBE-relaxed structure.

Structural model:
```
data_SrCa3Pr
_space_group_name_H-M_alt 'P -1'
_space_group_IT_number 2
_cell_length_a 6.0320
_cell_length_b 7.0251
_cell_length_c 11.2156
_cell_angle_alpha 99.03
_cell_angle_beta 90.14
_cell_angle_gamma 115.11
loop_
_space_group_symop_operation_xyz
'x,y,z'
'-x,-y,-z'
loop_
_atom_site_label
_atom_site_fract_x
_atom_site_fract_y
_atom_site_fract_z
Sr1 0.1592 0.3186 0.0580
Ca1 0.0635 0.1269 0.3660
Ca2 0.2284 0.4569 0.7277
Ca3 0.4711 0.9419 0.1710
Pr1 0.3568 0.7131 0.4605
```

Most intense lines, 2θ = 10–80°, sorted by position:
2θ/deg	Rel. int.
16.05	14
17.63	21
28.24	100
28.36	30
29.62	30
30.25	28
37.83	12
42.99	13

This entry pairs a crystal structure of GaCuSi with its computed X-ray powder pattern. Radiation: Cu Kα X-rays. Structure: a GGA-PBE-relaxed structure.

Structural model:
```
data_GaCuSi
_space_group_name_H-M_alt 'C m m m'
_space_group_IT_number 65
_space_group_name_Hall '-C 2 2'
_cell_length_a 8.0506
_cell_length_b 8.5785
_cell_length_c 2.5976
_cell_angle_alpha 90.00
_cell_angle_beta 90.00
_cell_angle_gamma 90.00
loop_
_atom_site_label
_atom_site_fract_x
_atom_site_fract_y
_atom_site_fract_z
Ga1 0.1588 0.0000 0.0000
Cu1 0.2500 0.2500 0.5000
Si1 0.0000 0.3570 0.0000
```

Most intense lines, 2θ = 10–80°, sorted by position:
2θ/deg	Rel. int.
22.08	64
33.25	41
35.04	67
40.60	100
46.70	79
48.07	50
50.04	91
74.22	34

This entry pairs a crystal structure of ReTc2Os2 with its computed X-ray powder pattern. Radiation: Cu Kα X-rays. Structure: a GGA-PBE-relaxed structure.

Structural model:
```
data_ReTc2Os2
_space_group_name_H-M_alt 'C 1 2/m 1'
_space_group_IT_number 12
_cell_length_a 9.8553
_cell_length_b 4.4296
_cell_length_c 7.4459
_cell_angle_alpha 90.00
_cell_angle_beta 111.64
_cell_angle_gamma 90.00
loop_
_space_group_symop_operation_xyz
'x,y,z'
'-x,-y,-z'
'-x,y,-z'
'x,-y,z'
'x+1/2,y+1/2,z'
'-x+1/2,-y+1/2,-z'
'-x+1/2,y+1/2,-z'
'x+1/2,-y+1/2,z'
loop_
_atom_site_label
_atom_site_fract_x
_atom_site_fract_y
_atom_site_fract_z
Re1 0.2307 0.0000 0.2865
Tc1 0.1370 0.0000 0.5774
Tc2 0.1734 0.5000 0.0438
Os1 0.0302 0.5000 0.3384
Os2 0.0563 0.0000 0.8858
```

Most intense lines, 2θ = 10–80°, sorted by position:
2θ/deg	Rel. int.
23.90	22
37.28	14
38.30	47
40.74	60
41.79	100
41.98	79
57.15	30
74.87	18

This entry pairs a crystal structure of Rb2CoPdS4 with its computed X-ray powder pattern. Radiation: Cu Kα X-rays. Structure: a GGA-PBE-relaxed structure.

Structural model:
```
data_Rb2CoPdS4
_space_group_name_H-M_alt 'F d d d'
_space_group_IT_number 70
_cell_length_a 5.5858
_cell_length_b 13.5122
_cell_length_c 22.4542
_cell_angle_alpha 90.00
_cell_angle_beta 90.00
_cell_angle_gamma 90.00
loop_
_space_group_symop_operation_xyz
'x,y,z'
'-x,-y,-z'
'-x+1/4,-y+1/4,z'
'x+1/4,y+1/4,-z'
'x,-y+1/4,-z+1/4'
'-x,y+1/4,z+1/4'
'-x+1/4,y,-z+1/4'
'x+1/4,-y,z+1/4'
'x,y+1/2,z+1/2'
'-x,-y+1/2,-z+1/2'
'-x+1/4,-y+3/4,z+1/2'
'x+1/4,y+3/4,-z+1/2'
'x,-y+3/4,-z+3/4'
'-x,y+3/4,z+3/4'
'-x+1/4,y+1/2,-z+3/4'
'x+1/4,-y+1/2,z+3/4'
'x+1/2,y,z+1/2'
'-x+1/2,-y,-z+1/2'
'-x+3/4,-y+1/4,z+1/2'
'x+3/4,y+1/4,-z+1/2'
'x+1/2,-y+1/4,-z+3/4'
'-x+1/2,y+1/4,z+3/4'
'-x+3/4,y,-z+3/4'
'x+3/4,-y,z+3/4'
'x+1/2,y+1/2,z'
'-x+1/2,-y+1/2,-z'
'-x+3/4,-y+3/4,z'
'x+3/4,y+3/4,-z'
'x+1/2,-y+3/4,-z+1/4'
'-x+1/2,y+3/4,z+1/4'
'-x+3/4,y+1/2,-z+1/4'
'x+3/4,-y+1/2,z+1/4'
loop_
_atom_site_label
_atom_site_fract_x
_atom_site_fract_y
_atom_site_fract_z
Rb1 0.1250 0.1250 0.3056
Co1 0.1250 0.1250 0.6250
Pd1 0.1250 0.1250 0.1250
S1 0.0944 0.2838 0.8194
```

Most intense lines, 2θ = 10–80°, sorted by position:
2θ/deg	Rel. int.
15.31	53
15.79	61
26.36	59
27.24	100
28.10	59
32.40	73
34.76	53
40.29	58

This entry pairs a crystal structure of Fe3GeBr9 with its computed X-ray powder pattern. Radiation: Cu Kα X-rays. Structure: a GGA-PBE-relaxed structure.

Structural model:
```
data_Fe3GeBr9
_space_group_name_H-M_alt 'C 1 c 1'
_space_group_IT_number 9
_cell_length_a 18.6220
_cell_length_b 9.4301
_cell_length_c 13.4549
_cell_angle_alpha 90.00
_cell_angle_beta 129.50
_cell_angle_gamma 90.00
loop_
_space_group_symop_operation_xyz
'x,y,z'
'x,-y,z+1/2'
'x+1/2,y+1/2,z'
'x+1/2,-y+1/2,z+1/2'
loop_
_atom_site_label
_atom_site_fract_x
_atom_site_fract_y
_atom_site_fract_z
Fe1 0.0000 0.0768 0.0000
Fe2 0.2794 0.3891 0.6565
Fe3 0.3676 0.0795 0.5409
Ge1 0.1485 0.2715 0.8354
Br1 0.9995 0.4916 0.2470
Br2 0.0407 0.0126 0.6938
Br3 0.1270 0.1776 0.0247
Br4 0.1579 0.4257 0.6687
Br5 0.2436 0.1665 0.5409
Br6 0.2874 0.4304 0.0384
Br7 0.2934 0.1187 0.8925
Br8 0.3758 0.2470 0.4072
Br9 0.4388 0.3687 0.8568
```

Most intense lines, 2θ = 10–80°, sorted by position:
2θ/deg	Rel. int.
16.32	100
17.91	62
25.52	48
25.85	84
26.84	59
27.74	81
38.42	38
40.18	42

This entry pairs a crystal structure of Sr2Mg3 with its computed X-ray powder pattern. Radiation: Cu Kα X-rays. Structure: a GGA-PBE-relaxed structure.

Structural model:
```
data_Sr2Mg3
_space_group_name_H-M_alt 'C m c e'
_space_group_IT_number 64
_space_group_name_Hall '-C 2ac 2'
_cell_length_a 6.3810
_cell_length_b 11.7772
_cell_length_c 9.4632
_cell_angle_alpha 90.00
_cell_angle_beta 90.00
_cell_angle_gamma 90.00
loop_
_atom_site_label
_atom_site_fract_x
_atom_site_fract_y
_atom_site_fract_z
Sr1 0.0000 0.1593 0.0967
Mg1 0.0000 0.0000 0.5000
Mg2 0.2500 0.0931 0.7500
```

Most intense lines, 2θ = 10–80°, sorted by position:
2θ/deg	Rel. int.
18.38	26
24.61	96
28.31	100
31.85	22
32.19	51
33.31	44
33.89	21
45.29	24

This entry pairs a crystal structure of Cs3Ag2I3Cl2 with its computed X-ray powder pattern. Radiation: Cu Kα X-rays. Structure: a GGA-PBE-relaxed structure.

Structural model:
```
data_Cs3Ag2I3Cl2
_space_group_name_H-M_alt 'I 4/m m m'
_space_group_IT_number 139
_space_group_name_Hall '-I 4 2'
_cell_length_a 5.3578
_cell_length_b 5.3578
_cell_length_c 30.0371
_cell_angle_alpha 90.00
_cell_angle_beta 90.00
_cell_angle_gamma 90.00
loop_
_atom_site_label
_atom_site_fract_x
_atom_site_fract_y
_atom_site_fract_z
Cs1 0.0000 0.0000 0.0000
Cs2 0.0000 0.0000 0.3505
Ag1 0.0000 0.0000 0.2200
I1 0.0000 0.0000 0.1271
I2 0.0000 0.0000 0.5000
Cl1 0.0000 0.5000 0.2500
```

Most intense lines, 2θ = 10–80°, sorted by position:
2θ/deg	Rel. int.
23.48	100
23.70	27
29.57	28
31.58	31
33.45	54
33.61	27
41.41	24
46.67	21

This entry pairs a crystal structure of Sm3SiCl3 with its computed X-ray powder pattern. Radiation: Cu Kα X-rays. Structure: a GGA-PBE-relaxed structure.

Structural model:
```
data_Sm3SiCl3
_space_group_name_H-M_alt 'I 41 3 2'
_space_group_IT_number 214
_space_group_name_Hall 'I 4bd 2c 3'
_cell_length_a 11.5623
_cell_length_b 11.5623
_cell_length_c 11.5623
_cell_angle_alpha 90.00
_cell_angle_beta 90.00
_cell_angle_gamma 90.00
loop_
_atom_site_label
_atom_site_fract_x
_atom_site_fract_y
_atom_site_fract_z
Sm1 0.1178 0.3678 0.1250
Si1 0.1250 0.1250 0.1250
Cl1 0.1238 0.1262 0.6250
```

Most intense lines, 2θ = 10–80°, sorted by position:
2θ/deg	Rel. int.
10.82	48
26.71	53
28.89	24
30.94	100
44.32	71
52.50	26
55.02	24
73.22	30

This entry pairs a crystal structure of U2AgSb4 with its computed X-ray powder pattern. Radiation: Cu Kα X-rays. Structure: a GGA-PBE-relaxed structure.

Structural model:
```
data_U2AgSb4
_space_group_name_H-M_alt 'P -4 m 2'
_space_group_IT_number 115
_cell_length_a 4.3204
_cell_length_b 4.3204
_cell_length_c 9.9485
_cell_angle_alpha 90.00
_cell_angle_beta 90.00
_cell_angle_gamma 90.00
loop_
_space_group_symop_operation_xyz
'x,y,z'
'y,-x,-z'
'-x,-y,z'
'-y,x,-z'
'-x,y,z'
'-y,-x,-z'
'x,-y,z'
'y,x,-z'
loop_
_atom_site_label
_atom_site_fract_x
_atom_site_fract_y
_atom_site_fract_z
U1 0.0000 0.5000 0.2445
Ag1 0.0000 0.0000 0.5000
Sb1 0.0000 0.0000 0.0000
Sb2 0.0000 0.5000 0.6781
Sb3 0.5000 0.5000 0.0000
```

Most intense lines, 2θ = 10–80°, sorted by position:
2θ/deg	Rel. int.
22.44	21
34.08	19
34.45	100
41.83	42
50.48	18
56.42	15
60.64	16
71.63	24

This entry pairs a crystal structure of Sr2NiSn8 with its computed X-ray powder pattern. Radiation: Cu Kα X-rays. Structure: a GGA-PBE-relaxed structure.

Structural model:
```
data_Sr2NiSn8
_space_group_name_H-M_alt 'P 4/m m m'
_space_group_IT_number 123
_space_group_name_Hall '-P 4 2'
_cell_length_a 4.7740
_cell_length_b 4.7740
_cell_length_c 12.9357
_cell_angle_alpha 90.00
_cell_angle_beta 90.00
_cell_angle_gamma 90.00
loop_
_atom_site_label
_atom_site_fract_x
_atom_site_fract_y
_atom_site_fract_z
Sr1 0.0000 0.0000 0.1943
Ni1 0.0000 0.0000 0.5000
Sn1 0.0000 0.5000 0.0000
Sn2 0.0000 0.5000 0.3841
Sn3 0.5000 0.5000 0.1886
```

Most intense lines, 2θ = 10–80°, sorted by position:
2θ/deg	Rel. int.
29.86	43
33.72	100
34.67	25
37.68	59
52.14	32
54.35	21
63.83	19
65.51	30

This entry pairs a crystal structure of ScTaTl with its computed X-ray powder pattern. Radiation: Cu Kα X-rays. Structure: a GGA-PBE-relaxed structure.

Structural model:
```
data_ScTaTl
_space_group_name_H-M_alt 'F m m 2'
_space_group_IT_number 42
_space_group_name_Hall 'F 2 -2'
_cell_length_a 3.9544
_cell_length_b 4.5799
_cell_length_c 14.1678
_cell_angle_alpha 90.00
_cell_angle_beta 90.00
_cell_angle_gamma 90.00
loop_
_atom_site_label
_atom_site_fract_x
_atom_site_fract_y
_atom_site_fract_z
Sc1 0.0000 0.0000 0.0000
Ta1 0.0000 0.0000 0.3454
Tl1 0.0000 0.0000 0.6776
```

Most intense lines, 2θ = 10–80°, sorted by position:
2θ/deg	Rel. int.
12.50	32
30.53	18
35.51	100
38.11	20
39.35	19
55.93	13
67.19	15
68.86	15

This entry pairs a crystal structure of Tl4Br3 with its computed X-ray powder pattern. Radiation: Cu Kα X-rays. Structure: a GGA-PBE-relaxed structure.

Structural model:
```
data_Tl4Br3
_space_group_name_H-M_alt 'I 4/m m m'
_space_group_IT_number 139
_space_group_name_Hall '-I 4 2'
_cell_length_a 4.5490
_cell_length_b 4.5490
_cell_length_c 25.2816
_cell_angle_alpha 90.00
_cell_angle_beta 90.00
_cell_angle_gamma 90.00
loop_
_atom_site_label
_atom_site_fract_x
_atom_site_fract_y
_atom_site_fract_z
Tl1 0.0000 0.0000 0.0635
Tl2 0.0000 0.0000 0.3253
Br1 0.0000 0.0000 0.1972
Br2 0.0000 0.0000 0.5000
```

Most intense lines, 2θ = 10–80°, sorted by position:
2θ/deg	Rel. int.
22.21	31
26.35	27
27.73	100
28.24	27
31.63	54
39.62	39
40.00	42
51.56	28

This entry pairs a crystal structure of Nd2Ho2Cd15 with its computed X-ray powder pattern. Radiation: Cu Kα X-rays. Structure: a GGA-PBE-relaxed structure.

Structural model:
```
data_Nd2Ho2Cd15
_space_group_name_H-M_alt 'R -3 m'
_space_group_IT_number 166
_space_group_name_Hall '-R 3 2"'
_cell_length_a 10.0801
_cell_length_b 10.0801
_cell_length_c 15.9169
_cell_angle_alpha 90.00
_cell_angle_beta 90.00
_cell_angle_gamma 120.00
loop_
_atom_site_label
_atom_site_fract_x
_atom_site_fract_y
_atom_site_fract_z
Nd1 0.0000 0.0000 0.1728
Ho1 0.0000 0.0000 0.4019
Cd1 0.0000 0.2930 0.5000
Cd2 0.0000 0.5000 0.0000
Cd3 0.0140 0.5070 0.6368
```

Most intense lines, 2θ = 10–80°, sorted by position:
2θ/deg	Rel. int.
30.40	44
30.73	43
33.79	29
34.88	75
35.18	100
35.63	76
39.59	62
63.99	25